Entry 1:
Diffraction record for Pm2Se3. The powder diffractogram is calculated, not measured: it uses the GGA-PBE geometry in Alexandria and Cu Kα (weighted mean of Kα1 and Kα2).

Cell and atoms:
```
data_Pm2Se3
_space_group_name_H-M_alt 'I -4 2 d'
_space_group_IT_number 122
_space_group_name_Hall 'I -4 2bw'
_cell_length_a 8.885
_cell_length_b 8.885
_cell_length_c 26.643
_cell_angle_alpha 90.00
_cell_angle_beta 90.00
_cell_angle_gamma 90.00
loop_
_atom_site_label
_atom_site_type_symbol
_atom_site_fract_x
_atom_site_fract_y
_atom_site_fract_z
Pm1 Pm 0.000 0.000 0.166
Pm2 Pm 0.119 0.750 0.625
Pm3 Pm 0.134 0.742 0.960
Se1 Se 0.072 0.675 0.183
Se2 Se 0.073 0.680 0.854
Se3 Se 0.080 0.673 0.516
```

Most intense lines, 2θ from 10° to 90°, most intense first:
| 2theta | intensity | hkl |
| --- | --- | --- |
| 31.85 | 100 | 3 1 0 |
| 37.89 | 67 | 2 1 9 |
| 64.68 | 29 | 1 1 18 |
| 24.55 | 22 | 1 1 6 |
| 45.67 | 22 | 4 0 6 |
| 79.24 | 18 | 2 1 21 |
| 52.52 | 18 | 3 1 12 |
| 48.04 | 15 | 3 2 9 |
| 68.44 | 14 | 5 1 12 |
| 50.32 | 11 | 4 2 6 |

Entry 2:
Diffraction record for Pm2Se5. The powder diffractogram is calculated, not measured: it uses the GGA-PBE geometry in Alexandria and Cu Kα (weighted mean of Kα1 and Kα2).

Cell and atoms:
```
data_Pm2Se5
_space_group_name_H-M_alt 'C m c m'
_space_group_IT_number 63
_space_group_name_Hall '-C 2c 2'
_cell_length_a 4.047
_cell_length_b 43.450
_cell_length_c 4.047
_cell_angle_alpha 90.00
_cell_angle_beta 90.00
_cell_angle_gamma 90.00
loop_
_atom_site_label
_atom_site_type_symbol
_atom_site_fract_x
_atom_site_fract_y
_atom_site_fract_z
Pm1 Pm 0.000 0.103 0.250
Pm2 Pm 0.000 0.306 0.250
Se1 Se 0.000 0.048 0.750
Se2 Se 0.000 0.176 0.250
Se3 Se 0.000 0.250 0.750
Se4 Se 0.000 0.376 0.250
Se5 Se 0.000 0.452 0.750
```

Most intense lines, 2θ from 10° to 90°, most intense first:
| 2theta | intensity | hkl |
| --- | --- | --- |
| 32.95 | 100 | 1 5 1 |
| 36.49 | 73 | 1 9 1 |
| 44.79 | 61 | 2 0 0 |
| 38.86 | 48 | 1 11 1 |
| 31.32 | 35 | 1 1 1 |
| 28.77 | 35 | 0 14 0 |
| 38.21 | 27 | 1 15 0 |
| 54.10 | 23 | 2 14 0 |
| 24.26 | 20 | 1 5 0 |
| 65.20 | 20 | 2 0 2 |

Entry 3:
Diffraction record for Pm5Si2Se2. The powder diffractogram is calculated, not measured: it uses the GGA-PBE geometry in Alexandria and Cu Kα (weighted mean of Kα1 and Kα2).

Cell and atoms:
```
data_Pm5Si2Se2
_space_group_name_H-M_alt 'C m c e'
_space_group_IT_number 64
_space_group_name_Hall '-C 2ac 2'
_cell_length_a 14.978
_cell_length_b 7.771
_cell_length_c 7.831
_cell_angle_alpha 90.00
_cell_angle_beta 90.00
_cell_angle_gamma 90.00
loop_
_atom_site_label
_atom_site_type_symbol
_atom_site_fract_x
_atom_site_fract_y
_atom_site_fract_z
Pm1 Pm 0.000 0.000 0.000
Pm2 Pm 0.134 0.172 0.331
Si1 Si 0.000 0.119 0.619
Se1 Se 0.201 0.000 0.000
```

Most intense lines, 2θ from 10° to 90°, most intense first:
| 2theta | intensity | hkl |
| --- | --- | --- |
| 31.23 | 100 | 3 1 2 |
| 35.20 | 92 | 4 2 1 |
| 25.59 | 78 | 0 2 1 |
| 33.23 | 72 | 4 2 0 |
| 33.10 | 68 | 4 0 2 |
| 37.04 | 66 | 1 3 1 |
| 36.81 | 65 | 1 1 3 |
| 32.46 | 64 | 0 2 2 |
| 26.17 | 63 | 1 1 2 |
| 34.06 | 56 | 5 1 1 |

Entry 4:
Diffraction record for PmSmSiSe. The powder diffractogram is calculated, not measured: it uses the GGA-PBE geometry in Alexandria and Cu Kα (weighted mean of Kα1 and Kα2).

Cell and atoms:
```
data_PmSmSiSe
_space_group_name_H-M_alt 'R 3 m'
_space_group_IT_number 160
_space_group_name_Hall 'R 3 -2"'
_cell_length_a 4.2040
_cell_length_b 4.2040
_cell_length_c 20.9065
_cell_angle_alpha 90.00
_cell_angle_beta 90.00
_cell_angle_gamma 120.00
loop_
_atom_site_label
_atom_site_type_symbol
_atom_site_fract_x
_atom_site_fract_y
_atom_site_fract_z
Pm1 Pm 0.0000 0.0000 0.0000
Sm1 Sm 0.0000 0.0000 0.5073
Si1 Si 0.0000 0.0000 0.2533
Se1 Se 0.0000 0.0000 0.7542
```

Most intense lines, 2θ from 10° to 90°, most intense first:
| 2theta | intensity | hkl |
| --- | --- | --- |
| 29.91 | 100 | 1 0 4 |
| 42.58 | 37 | 0 1 8 |
| 43.03 | 37 | 1 1 0 |
| 25.91 | 30 | 0 1 2 |
| 53.29 | 20 | 0 2 4 |
| 70.81 | 17 | 2 1 4 |
| 70.16 | 16 | 1 1 12 |
| 78.57 | 12 | 1 2 8 |
| 62.14 | 12 | 2 0 8 |
| 25.56 | 10 | 0 0 6 |

Entry 5:
Diffraction record for Pm2Sm4Se9. The powder diffractogram is calculated, not measured: it uses the GGA-PBE geometry in Alexandria and Cu Kα (weighted mean of Kα1 and Kα2).

Cell and atoms:
```
data_Pm2Sm4Se9
_space_group_name_H-M_alt 'C 1 2/c 1'
_space_group_IT_number 15
_space_group_name_Hall '-C 2yc'
_cell_length_a 12.816
_cell_length_b 7.397
_cell_length_c 19.779
_cell_angle_alpha 90.00
_cell_angle_beta 90.01
_cell_angle_gamma 90.00
loop_
_atom_site_label
_atom_site_type_symbol
_atom_site_fract_x
_atom_site_fract_y
_atom_site_fract_z
Pm1 Pm 0.000 0.000 0.150
Sm1 Sm 0.167 0.500 0.016
Sm2 Sm 0.167 0.500 0.317
Se1 Se 0.000 0.302 0.250
Se2 Se 0.016 0.352 0.917
Se3 Se 0.151 0.151 0.750
Se4 Se 0.168 0.199 0.417
Se5 Se 0.184 0.152 0.083
```

Most intense lines, 2θ from 10° to 90°, most intense first:
| 2theta | intensity | hkl |
| --- | --- | --- |
| 36.51 | 100 | 3 1 6 |
| 42.32 | 68 | 6 0 0 |
| 27.65 | 67 | 3 1 3 |
| 22.72 | 60 | 1 1 -4 |
| 33.33 | 42 | 2 2 4 |
| 16.49 | 42 | 1 1 2 |
| 24.06 | 39 | 3 1 0 |
| 41.52 | 39 | 5 1 4 |
| 48.15 | 33 | 2 0 10 |
| 57.10 | 26 | 6 2 6 |

Entry 6:
Diffraction record for PmSm4Se4. The powder diffractogram is calculated, not measured: it uses the GGA-PBE geometry in Alexandria and Cu Kα (weighted mean of Kα1 and Kα2).

Cell and atoms:
```
data_PmSm4Se4
_space_group_name_H-M_alt 'I 4/m'
_space_group_IT_number 87
_space_group_name_Hall '-I 4'
_cell_length_a 9.242
_cell_length_b 9.242
_cell_length_c 5.865
_cell_angle_alpha 90.00
_cell_angle_beta 90.00
_cell_angle_gamma 90.00
loop_
_atom_site_label
_atom_site_type_symbol
_atom_site_fract_x
_atom_site_fract_y
_atom_site_fract_z
Pm1 Pm 0.000 0.000 0.000
Sm1 Sm 0.103 0.700 0.500
Se1 Se 0.098 0.697 0.000
```

Most intense lines, 2θ from 10° to 90°, most intense first:
| 2theta | intensity | hkl |
| --- | --- | --- |
| 43.75 | 100 | 3 1 2 |
| 30.59 | 89 | 3 1 0 |
| 30.48 | 45 | 0 0 2 |
| 26.38 | 42 | 1 2 1 |
| 54.30 | 35 | 2 4 2 |
| 72.26 | 30 | 6 2 2 |
| 80.44 | 22 | 5 5 2 |
| 72.06 | 15 | 3 1 4 |
| 51.86 | 14 | 5 0 1 |
| 80.28 | 11 | 2 4 4 |

Entry 7:
Diffraction record for Pm4Sm3Se8. The powder diffractogram is calculated, not measured: it uses the GGA-PBE geometry in Alexandria and Cu Kα (weighted mean of Kα1 and Kα2).

Cell and atoms:
```
data_Pm4Sm3Se8
_space_group_name_H-M_alt 'C 1 2/m 1'
_space_group_IT_number 12
_space_group_name_Hall '-C 2y'
_cell_length_a 11.799
_cell_length_b 11.801
_cell_length_c 8.342
_cell_angle_alpha 90.00
_cell_angle_beta 134.98
_cell_angle_gamma 90.00
loop_
_atom_site_label
_atom_site_type_symbol
_atom_site_fract_x
_atom_site_fract_y
_atom_site_fract_z
Pm1 Pm 0.000 0.000 0.000
Pm2 Pm 0.000 0.500 0.500
Pm3 Pm 0.250 0.250 0.000
Sm1 Sm 0.000 0.500 0.000
Sm2 Sm 0.250 0.250 0.500
Se1 Se 0.000 0.246 0.500
Se2 Se 0.000 0.251 0.000
Se3 Se 0.247 0.000 0.501
Se4 Se 0.247 0.000 0.993
```

Most intense lines, 2θ from 10° to 90°, most intense first:
| 2theta | intensity | hkl |
| --- | --- | --- |
| 30.30 | 100 | 0 4 0 |
| 43.38 | 74 | 4 0 0 |
| 71.51 | 33 | 4 0 2 |
| 53.82 | 26 | 4 4 0 |
| 79.60 | 25 | 4 8 0 |
| 63.02 | 12 | 0 8 0 |
| 26.16 | 11 | 2 2 0 |
| 12.99 | 6 | 1 1 0 |
| 51.36 | 5 | 6 2 -4 |
| 25.03 | 5 | 3 1 -2 |

Entry 8:
Diffraction record for Pm4SmSe5. The powder diffractogram is calculated, not measured: it uses the GGA-PBE geometry in Alexandria and Cu Kα (weighted mean of Kα1 and Kα2).

Cell and atoms:
```
data_Pm4SmSe5
_space_group_name_H-M_alt 'R -3 m'
_space_group_IT_number 166
_space_group_name_Hall '-R 3 2"'
_cell_length_a 4.2060
_cell_length_b 4.2060
_cell_length_c 51.0032
_cell_angle_alpha 90.00
_cell_angle_beta 90.00
_cell_angle_gamma 120.00
loop_
_atom_site_label
_atom_site_type_symbol
_atom_site_fract_x
_atom_site_fract_y
_atom_site_fract_z
Pm1 Pm 0.0000 0.0000 0.1002
Pm2 Pm 0.0000 0.0000 0.2999
Sm1 Sm 0.0000 0.0000 0.5000
Se1 Se 0.0000 0.0000 0.0000
Se2 Se 0.0000 0.0000 0.1996
Se3 Se 0.0000 0.0000 0.4002
```

Most intense lines, 2θ from 10° to 90°, most intense first:
| 2theta | intensity | hkl |
| --- | --- | --- |
| 30.15 | 100 | 1 0 10 |
| 43.01 | 38 | 1 1 0 |
| 43.31 | 37 | 0 1 20 |
| 53.42 | 20 | 0 2 10 |
| 70.90 | 17 | 2 1 10 |
| 71.34 | 17 | 1 1 30 |
| 25.97 | 13 | 0 1 5 |
| 79.04 | 13 | 1 2 20 |
| 62.69 | 12 | 2 0 20 |
| 53.93 | 6 | 0 0 30 |

Entry 9:
Diffraction record for Pm3Sm2Se4. The powder diffractogram is calculated, not measured: it uses the GGA-PBE geometry in Alexandria and Cu Kα (weighted mean of Kα1 and Kα2).

Cell and atoms:
```
data_Pm3Sm2Se4
_space_group_name_H-M_alt 'C 1 2/m 1'
_space_group_IT_number 12
_space_group_name_Hall '-C 2y'
_cell_length_a 13.787
_cell_length_b 4.153
_cell_length_c 10.090
_cell_angle_alpha 90.00
_cell_angle_beta 119.69
_cell_angle_gamma 90.00
loop_
_atom_site_label
_atom_site_type_symbol
_atom_site_fract_x
_atom_site_fract_y
_atom_site_fract_z
Pm1 Pm 0.000 0.000 0.000
Pm2 Pm 0.200 0.000 0.793
Sm1 Sm 0.097 0.500 0.400
Se1 Se 0.103 0.500 0.902
Se2 Se 0.198 0.000 0.306
```

Most intense lines, 2θ from 10° to 90°, most intense first:
| 2theta | intensity | hkl |
| --- | --- | --- |
| 30.47 | 100 | 3 1 -2 |
| 43.63 | 74 | 0 2 0 |
| 30.67 | 50 | 2 0 2 |
| 43.93 | 36 | 1 1 -4 |
| 26.32 | 34 | 1 1 1 |
| 54.24 | 20 | 2 2 2 |
| 71.88 | 17 | 3 3 -2 |
| 80.57 | 12 | 4 2 4 |
| 63.41 | 12 | 6 2 -4 |
| 26.50 | 12 | 2 0 -3 |

Entry 10:
Diffraction record for Pm2SmSe4. The powder diffractogram is calculated, not measured: it uses the GGA-PBE geometry in Alexandria and Cu Kα (weighted mean of Kα1 and Kα2).

Cell and atoms:
```
data_Pm2SmSe4
_space_group_name_H-M_alt 'C m c m'
_space_group_IT_number 63
_space_group_name_Hall '-C 2c 2'
_cell_length_a 4.064
_cell_length_b 13.867
_cell_length_c 14.081
_cell_angle_alpha 90.00
_cell_angle_beta 90.00
_cell_angle_gamma 90.00
loop_
_atom_site_label
_atom_site_type_symbol
_atom_site_fract_x
_atom_site_fract_y
_atom_site_fract_z
Pm1 Pm 0.000 0.130 0.070
Sm1 Sm 0.000 0.373 0.250
Se1 Se 0.000 0.027 0.250
Se2 Se 0.000 0.222 0.624
Se3 Se 0.000 0.500 0.000
```

Most intense lines, 2θ from 10° to 90°, most intense first:
| 2theta | intensity | hkl |
| --- | --- | --- |
| 22.87 | 100 | 0 2 3 |
| 31.96 | 93 | 1 3 2 |
| 29.96 | 68 | 1 3 1 |
| 43.67 | 52 | 0 6 3 |
| 39.47 | 51 | 1 1 5 |
| 28.43 | 36 | 0 2 4 |
| 44.60 | 33 | 2 0 0 |
| 41.45 | 32 | 1 5 2 |
| 64.17 | 29 | 2 6 3 |
| 50.70 | 21 | 2 2 3 |

Entry 11:
Diffraction record for PmSm2ThSe4. The powder diffractogram is calculated, not measured: it uses the GGA-PBE geometry in Alexandria and Cu Kα (weighted mean of Kα1 and Kα2).

Cell and atoms:
```
data_PmSm2ThSe4
_space_group_name_H-M_alt 'P 1 2/m 1'
_space_group_IT_number 10
_space_group_name_Hall '-P 2y'
_cell_length_a 7.263
_cell_length_b 4.162
_cell_length_c 7.268
_cell_angle_alpha 90.00
_cell_angle_beta 109.25
_cell_angle_gamma 90.00
loop_
_atom_site_label
_atom_site_type_symbol
_atom_site_fract_x
_atom_site_fract_y
_atom_site_fract_z
Pm1 Pm 0.000 0.000 0.000
Sm1 Sm 0.000 0.500 0.500
Sm2 Sm 0.500 0.000 0.500
Th1 Th 0.500 0.500 0.000
Se1 Se 0.247 0.000 0.746
Se2 Se 0.250 0.500 0.253
```

Most intense lines, 2θ from 10° to 90°, most intense first:
| 2theta | intensity | hkl |
| --- | --- | --- |
| 30.20 | 100 | 1 1 1 |
| 43.22 | 50 | 3 1 -1 |
| 71.23 | 23 | 4 2 0 |
| 53.43 | 13 | 4 0 0 |
| 53.84 | 13 | 2 2 -2 |
| 43.01 | 13 | 2 0 2 |
| 62.79 | 12 | 2 2 2 |
| 43.49 | 12 | 0 2 0 |
| 25.98 | 12 | 2 0 0 |
| 26.17 | 12 | 1 1 -1 |

Entry 12:
Diffraction record for Pm5Sn2Se4. The powder diffractogram is calculated, not measured: it uses the GGA-PBE geometry in Alexandria and Cu Kα (weighted mean of Kα1 and Kα2).

Cell and atoms:
```
data_Pm5Sn2Se4
_space_group_name_H-M_alt 'R -3 m'
_space_group_IT_number 166
_space_group_name_Hall '-R 3 2"'
_cell_length_a 4.6080
_cell_length_b 4.6080
_cell_length_c 59.7795
_cell_angle_alpha 90.00
_cell_angle_beta 90.00
_cell_angle_gamma 120.00
loop_
_atom_site_label
_atom_site_type_symbol
_atom_site_fract_x
_atom_site_fract_y
_atom_site_fract_z
Pm1 Pm 0.0000 0.0000 0.0000
Pm2 Pm 0.0000 0.0000 0.1314
Pm3 Pm 0.0000 0.0000 0.2729
Sn1 Sn 0.0000 0.0000 0.3629
Se1 Se 0.0000 0.0000 0.0850
Se2 Se 0.0000 0.0000 0.1874
```

Most intense lines, 2θ from 10° to 90°, most intense first:
| 2theta | intensity | hkl |
| --- | --- | --- |
| 39.10 | 100 | 1 1 0 |
| 27.73 | 73 | 0 1 11 |
| 40.15 | 72 | 1 0 22 |
| 22.32 | 51 | 0 0 15 |
| 25.30 | 50 | 0 1 8 |
| 30.66 | 39 | 0 1 14 |
| 45.49 | 28 | 1 1 15 |
| 71.54 | 27 | 2 1 22 |
| 57.28 | 27 | 0 2 22 |
| 65.60 | 21 | 1 1 33 |